[1]
Simulated powder diffractogram of Nd3Y2Ge4 for Cu Kα, 1.54184 Å, from a DFT-relaxed cell (GGA-PBE, Alexandria).

Atomic structure:
Unit cell a=8.065 b=7.979 c=7.755 alpha=90.00 beta=111.36 gamma=90.00
Space group P2_1/c (No. 14)
Symmetry-distinct sites (fractional):
Nd1 0.000 0.000 0.000 x2
Nd2 0.303 0.182 0.432 x4
Y1 0.261 0.665 0.267 x4
Ge1 0.008 0.127 0.624 x4
Ge2 0.417 0.540 0.669 x4

Most intense lines, 2θ from 15° to 90°, by angle:
2θ 29.57, 3.021 Å, rel. 596, hkl 2 1 -2; 2θ 30.06, 2.973 Å, rel. 449, hkl 1 2 1; 2θ 31.77, 2.817 Å, rel. 1000, hkl 2 2 -1; 2θ 32.32, 2.770 Å, rel. 741, hkl 1 2 -2; 2θ 32.75, 2.735 Å, rel. 698, hkl 2 2 0; 2θ 33.15, 2.702 Å, rel. 939, hkl 1 1 2; 2θ 35.41, 2.535 Å, rel. 476, hkl 3 0 -2; 2θ 35.86, 2.504 Å, rel. 499, hkl 3 0 0; 2θ 35.98, 2.496 Å, rel. 711, hkl 0 3 1; 2θ 36.56, 2.458 Å, rel. 905, hkl 1 1 -3

[2]
Simulated powder diffractogram of Nd2Y3Ge4 for Cu Kα, 1.54184 Å, from a DFT-relaxed cell (GGA-PBE, Alexandria).

Atomic structure:
Unit cell a=8.008 b=7.905 c=7.697 alpha=90.00 beta=111.23 gamma=90.00
Space group P2_1/c (No. 14)
Symmetry-distinct sites (fractional):
Nd1 0.197 0.181 0.066 x4
Y1 0.240 0.665 0.234 x4
Y2 0.500 0.000 0.500 x2
Ge1 0.087 0.539 0.834 x4
Ge2 0.493 0.130 0.871 x4

Most intense lines, 2θ from 15° to 90°, by angle:
2θ 29.82, 2.996 Å, rel. 596, hkl 2 1 -2; 2θ 30.30, 2.950 Å, rel. 467, hkl 1 2 1; 2θ 32.04, 2.793 Å, rel. 1000, hkl 2 2 -1; 2θ 32.61, 2.746 Å, rel. 551, hkl 1 2 -2; 2θ 33.01, 2.714 Å, rel. 493, hkl 2 2 0; 2θ 33.37, 2.685 Å, rel. 941, hkl 1 1 2; 2θ 35.70, 2.515 Å, rel. 366, hkl 3 0 -2; 2θ 36.10, 2.488 Å, rel. 426, hkl 3 0 0; 2θ 36.32, 2.473 Å, rel. 580, hkl 0 3 1; 2θ 36.86, 2.438 Å, rel. 729, hkl 1 1 -3

[3]
Simulated powder diffractogram of NdZnGe2 for Cu Kα, 1.54184 Å, from a DFT-relaxed cell (GGA-PBE, Alexandria).

Atomic structure:
Unit cell a=4.434 b=4.434 c=4.223 alpha=90.00 beta=90.00 gamma=90.00
Space group P4/mmm (No. 123)
Symmetry-distinct sites (fractional):
Nd1 0.000 0.000 0.000 x1
Zn1 0.500 0.500 0.000 x1
Ge1 0.000 0.500 0.500 x2

Most intense lines, 2θ from 15° to 90°, by angle:
2θ 20.02, 4.434 Å, rel. 84, hkl 1 0 0; 2θ 29.20, 3.058 Å, rel. 66, hkl 1 0 1; 2θ 35.67, 2.517 Å, rel. 1000, hkl 1 1 1; 2θ 40.70, 2.217 Å, rel. 346, hkl 2 0 0; 2θ 42.83, 2.111 Å, rel. 149, hkl 0 0 2; 2θ 58.91, 1.568 Å, rel. 114, hkl 2 2 0; 2θ 60.56, 1.529 Å, rel. 210, hkl 2 0 2; 2θ 70.80, 1.331 Å, rel. 260, hkl 3 1 1; 2θ 73.79, 1.284 Å, rel. 115, hkl 1 1 3; 2θ 75.54, 1.259 Å, rel. 108, hkl 2 2 2

[4]
Simulated powder diffractogram of Nd4Zn5Ge6 for Cu Kα, 1.54184 Å, from a DFT-relaxed cell (GGA-PBE, Alexandria).

Atomic structure:
Unit cell a=4.337 b=18.980 c=15.722 alpha=90.00 beta=90.00 gamma=90.00
Space group Cmc2_1 (No. 36)
Symmetry-distinct sites (fractional):
Nd1 0.000 0.021 0.000 x4
Nd2 0.000 0.032 0.261 x4
Nd3 0.000 0.169 0.803 x4
Nd4 0.000 0.177 0.446 x4
Zn1 0.000 0.151 0.127 x4
Zn2 0.000 0.299 0.125 x4
Zn3 0.000 0.345 0.774 x4
Zn4 0.000 0.350 0.480 x4
Zn5 0.000 0.433 0.184 x4
Ge1 0.000 0.112 0.619 x4
Ge2 0.000 0.219 0.990 x4
Ge3 0.000 0.224 0.263 x4
Ge4 0.000 0.431 0.630 x4
Ge5 0.000 0.432 0.905 x4
Ge6 0.000 0.440 0.354 x4

Most intense lines, 2θ from 15° to 90°, by angle:
2θ 27.10, 3.291 Å, rel. 209, hkl 1 1 3; 2θ 31.07, 2.879 Å, rel. 435, hkl 1 1 4; 2θ 31.32, 2.856 Å, rel. 325, hkl 1 5 0; 2θ 31.84, 2.810 Å, rel. 348, hkl 1 5 1; 2θ 33.88, 2.646 Å, rel. 263, hkl 1 3 4; 2θ 34.22, 2.620 Å, rel. 266, hkl 0 0 6; 2θ 35.80, 2.508 Å, rel. 1000, hkl 1 5 3; 2θ 38.98, 2.311 Å, rel. 224, hkl 1 5 4; 2θ 41.65, 2.168 Å, rel. 596, hkl 2 0 0; 2θ 51.20, 1.784 Å, rel. 222, hkl 0 10 3